LiMn2B2O6: calculated powder X-ray diffraction pattern (Cu Kα (λ = 1.5418 Å)), based on a DFT-relaxed cell (GGA+U, the Materials Project).

Main lines, sorted by position (2θ from 10° to 90°):
| two_theta | Rel. int. | h k l |
| --- | --- | --- |
| 19.20 | 35 | 1 -1 0 |
| 19.68 | 78 | 0 2 0 |
| 21.39 | 100 | 1 1 -1 |
| 21.65 | 22 | 0 2 -1 |
| 25.37 | 29 | 1 1 2 |
| 25.59 | 31 | 1 -1 2 |
| 34.12 | 30 | 1 3 0 |
| 34.19 | 29 | 1 -3 0 |
| 35.06 | 79 | 0 0 4 |
| 37.06 | 23 | 2 0 2 |

Cell and atoms:
```
LiMn2B2O6
1.0
5.3886 0.0000 0.0000
0.0244 9.0212 0.0000
0.4409 0.1498 10.2376
Li Mn B O
4 8 8 24
Direct
0.0000 0.0000 0.0000
0.0542 0.9789 0.5049
0.2580 0.5050 0.2666
0.5327 0.4790 0.6001
0.0453 0.6579 0.5528
0.0659 0.3480 0.0446
0.2422 0.8358 0.7925
0.2589 0.1671 0.2948
0.5301 0.7868 0.0444
0.5704 0.1357 0.5444
0.7366 0.6420 0.2996
0.7589 0.2956 0.8005
0.0673 0.6754 0.0553
0.0743 0.3159 0.5446
0.2301 0.1800 0.8022
0.2340 0.8127 0.3052
0.5607 0.1426 0.0455
0.5723 0.8048 0.5481
0.7290 0.3089 0.2963
0.7291 0.6457 0.7937
0.1058 0.6848 0.3602
0.1098 0.3123 0.8392
0.1119 0.0483 0.8192
0.1492 0.9502 0.3244
0.1726 0.8076 0.0049
0.1885 0.1871 0.4892
0.1936 0.4476 0.5427
0.2092 0.5540 0.0774
0.3167 0.8128 0.5835
0.3215 0.1755 0.1036
0.4496 0.7758 0.2341
0.4673 0.1893 0.7445
0.5885 0.4339 0.2951
0.5966 0.7608 0.8565
0.6220 0.1735 0.3340
0.6335 0.5106 0.7780
0.6536 0.0050 0.0418
0.6730 0.6656 0.5142
0.6965 0.2639 0.9903
0.7175 0.9264 0.5495
0.8186 0.6743 0.0929
0.8353 0.2953 0.6009
0.9648 0.6859 0.7380
0.9843 0.3147 0.2588
```